This entry pairs a crystal structure of K2Al2O2F9 with its simulated X-ray diffraction stick pattern. Radiation: Cu Ka. Structure: a PBE-relaxed structure.

Principal peaks in the range 5° ≤ 2θ ≤ 70°, by intensity:
- d = 2.332 Å, rel. 100.0, (1 4 1)
- d = 7.488 Å, rel. 96.6, (0 1 1)
- d = 3.121 Å, rel. 75.1, (0 3 2)
- d = 3.210 Å, rel. 66.9, (1 2 0)
- d = 1.864 Å, rel. 55.4, (2 0 0)
- d = 2.826 Å, rel. 51.3, (1 1 2)
- d = 5.226 Å, rel. 49.6, (0 2 1)
- d = 3.010 Å, rel. 44.2, (0 1 3)
- d = 3.040 Å, rel. 44.0, (1 2 -1)
- d = 3.727 Å, rel. 41.9, (1 0 0)

Structural model:
a b c (Å): 3.7274 12.6369 9.2966
angles (deg): 90.00 90.36 90.00
Space group P2_1/c (No. 14)
Unique sites:
K: 0.0018 0.2015 0.1376 (multiplicity 4)
Al: 0.4974 0.0707 0.8252 (multiplicity 4)
O: 0.3056 0.0534 0.4740 (multiplicity 4)
F: 0.0025 0.5663 0.6735 (multiplicity 4)
F: 0.4910 0.5607 0.2429 (multiplicity 4)
F: 0.4988 0.1923 0.9201 (multiplicity 4)
F: 0.4990 0.6420 0.8439 (multiplicity 4)
F: 0.5000 0.0000 0.0000 (multiplicity 2)


This entry pairs a crystal structure of K3Al4P2O8F9 with its simulated X-ray diffraction stick pattern. Radiation: Cu Ka. Structure: a PBE-relaxed structure.

Principal peaks in the range 5° ≤ 2θ ≤ 70°, by intensity:
- d = 2.981 Å, rel. 100.0, (1 4 -1)
- d = 3.169 Å, rel. 74.4, (0 2 2)
- d = 2.705 Å, rel. 54.6, (2 0 1)
- d = 5.669 Å, rel. 51.5, (1 0 -1)
- d = 2.969 Å, rel. 39.6, (2 2 0)
- d = 3.091 Å, rel. 38.1, (1 4 0)
- d = 2.834 Å, rel. 38.0, (2 0 -2)
- d = 3.024 Å, rel. 37.1, (2 2 -1)
- d = 2.683 Å, rel. 34.4, (2 3 0)
- d = 1.952 Å, rel. 33.2, (0 6 2)

Structural model:
a b c (Å): 6.8255 14.0182 7.3959
angles (deg): 90.00 106.19 90.00
Space group P2_1/m (No. 11)
Unique sites:
K: 0.0811 0.2500 0.0413 (multiplicity 2)
K: 0.1849 0.5119 0.2909 (multiplicity 4)
Al: 0.0277 0.2500 0.5525 (multiplicity 2)
Al: 0.3269 0.6220 0.8183 (multiplicity 4)
Al: 0.4839 0.7500 0.4624 (multiplicity 2)
P: 0.3490 0.1024 0.7845 (multiplicity 4)
O: 0.1393 0.1544 0.7240 (multiplicity 4)
O: 0.3170 0.5014 0.7109 (multiplicity 4)
O: 0.4256 0.1054 0.0012 (multiplicity 4)
O: 0.4980 0.6503 0.3058 (multiplicity 4)
F: 0.0912 0.6556 0.6189 (multiplicity 4)
F: 0.1522 0.5918 0.9513 (multiplicity 4)
F: 0.2038 0.7500 0.3676 (multiplicity 2)
F: 0.2342 0.2500 0.4347 (multiplicity 2)
F: 0.3195 0.7500 0.8884 (multiplicity 2)
F: 0.4735 0.6611 0.6481 (multiplicity 4)


This entry pairs a crystal structure of K2AlSO4F3 with its simulated X-ray diffraction stick pattern. Radiation: Cu Ka. Structure: a PBE-relaxed structure.

Principal peaks in the range 5° ≤ 2θ ≤ 70°, by intensity:
- d = 3.030 Å, rel. 100.0, (2 2 1)
- d = 3.043 Å, rel. 75.2, (3 1 1)
- d = 3.093 Å, rel. 56.2, (1 1 2)
- d = 4.840 Å, rel. 46.1, (1 1 1)
- d = 6.732 Å, rel. 34.3, (1 1 0)
- d = 2.691 Å, rel. 33.5, (0 2 2)
- d = 2.003 Å, rel. 27.2, (1 2 3)
- d = 2.739 Å, rel. 24.6, (1 3 0)
- d = 5.533 Å, rel. 23.6, (2 0 0)
- d = 1.912 Å, rel. 19.7, (2 2 3)

Structural model:
a b c (Å): 11.0662 8.4815 6.9643
angles (deg): 90.00 90.00 90.00
Space group Pbcn (No. 60)
Unique sites:
K: 0.1984 0.1712 0.1941 (multiplicity 8)
Al: 0.0000 0.5000 0.0000 (multiplicity 4)
S: 0.0000 0.1928 0.7500 (multiplicity 4)
O: 0.0530 0.2984 0.5950 (multiplicity 8)
O: 0.0989 0.0979 0.8288 (multiplicity 8)
F: 0.0000 0.4145 0.2500 (multiplicity 4)
F: 0.1554 0.4462 0.9778 (multiplicity 8)


This entry pairs a crystal structure of KRbAl2F8 with its simulated X-ray diffraction stick pattern. Radiation: Cu Ka. Structure: a PBE-relaxed structure.

Principal peaks in the range 5° ≤ 2θ ≤ 70°, by intensity:
- d = 3.722 Å, rel. 100.0, (1 0 4)
- d = 2.948 Å, rel. 49.4, (1 1 0)
- d = 2.731 Å, rel. 47.8, (2 -1 3)
- d = 2.287 Å, rel. 39.4, (1 1 6)
- d = 2.399 Å, rel. 31.8, (0 1 8)
- d = 1.702 Å, rel. 21.6, (3 0 0)
- d = 1.544 Å, rel. 19.5, (2 -1 12)
- d = 2.311 Å, rel. 16.5, (0 2 4)
- d = 1.819 Å, rel. 15.9, (3 -1 4)
- d = 1.574 Å, rel. 12.4, (3 -2 8)

Structural model:
a b c (Å): 5.8965 5.8965 21.7430
angles (deg): 90.00 90.00 120.00
Space group R-3 (No. 148, hexagonal axes)
Unique sites:
K: 0.0000 0.0000 0.0000 (multiplicity 3)
Rb: 0.0000 0.0000 0.5000 (multiplicity 3)
Al: 0.0000 0.0000 0.2438 (multiplicity 6)
F: 0.0000 0.0000 0.1656 (multiplicity 6)
F: 0.0400 0.4165 0.9345 (multiplicity 18)


This entry pairs a crystal structure of KRb3Al2F9 with its simulated X-ray diffraction stick pattern. Radiation: Cu Ka. Structure: a PBE-relaxed structure.

Principal peaks in the range 5° ≤ 2θ ≤ 70°, by intensity:
- d = 3.101 Å, rel. 100.0, (0 1 2)
- d = 2.179 Å, rel. 93.5, (2 0 2)
- d = 3.064 Å, rel. 90.1, (1 1 0)
- d = 2.506 Å, rel. 61.1, (0 2 1)
- d = 1.776 Å, rel. 31.7, (1 2 2)
- d = 1.532 Å, rel. 26.7, (2 2 0)
- d = 1.551 Å, rel. 22.6, (0 2 4)
- d = 1.383 Å, rel. 20.7, (2 1 4)
- d = 4.359 Å, rel. 19.8, (1 0 1)
- d = 1.373 Å, rel. 18.6, (3 1 2)

Structural model:
a b c (Å): 6.1271 6.1271 7.6437
angles (deg): 90.00 90.00 120.00
Space group P-3m1 (No. 164)
Unique sites:
K: 0.0000 0.0000 0.0000 (multiplicity 1)
Rb: 0.0000 0.0000 0.5000 (multiplicity 1)
Rb: 0.3333 0.6667 0.1757 (multiplicity 2)
Al: 0.3333 0.6667 0.6524 (multiplicity 2)
F: 0.0000 0.5000 0.5000 (multiplicity 3)
F: 0.1910 0.3819 0.7853 (multiplicity 6)


This entry pairs a crystal structure of KSc2AlF with its simulated X-ray diffraction stick pattern. Radiation: Cu Ka. Structure: a PBE-relaxed structure.

Principal peaks in the range 5° ≤ 2θ ≤ 70°, by intensity:
- d = 2.843 Å, rel. 100.0, (1 1 1)
- d = 3.024 Å, rel. 49.9, (0 0 2)
- d = 2.277 Å, rel. 42.2, (2 0 0)
- d = 1.819 Å, rel. 39.5, (2 0 2)
- d = 1.709 Å, rel. 19.8, (1 1 3)
- d = 1.401 Å, rel. 19.7, (3 1 1)
- d = 6.048 Å, rel. 16.1, (0 0 1)
- d = 1.421 Å, rel. 16.0, (2 2 2)
- d = 1.610 Å, rel. 12.7, (2 2 0)
- d = 3.638 Å, rel. 12.3, (1 0 1)

Structural model:
a b c (Å): 4.5547 4.5547 6.0479
angles (deg): 90.00 90.00 90.00
Space group P4/mmm (No. 123)
Unique sites:
K: 0.0000 0.0000 0.0000 (multiplicity 1)
Sc: 0.0000 0.5000 0.5000 (multiplicity 2)
Al: 0.5000 0.5000 0.0000 (multiplicity 1)
F: 0.5000 0.5000 0.5000 (multiplicity 1)


This entry pairs a crystal structure of KSrAl2F8 with its simulated X-ray diffraction stick pattern. Radiation: Cu Ka. Structure: a PBE-relaxed structure.

Principal peaks in the range 5° ≤ 2θ ≤ 70°, by intensity:
- d = 3.892 Å, rel. 100.0, (1 0 4)
- d = 2.751 Å, rel. 47.0, (1 1 0)
- d = 2.347 Å, rel. 37.1, (2 -1 6)
- d = 1.741 Å, rel. 34.5, (1 1 12)
- d = 1.588 Å, rel. 22.4, (3 0 0)
- d = 9.004 Å, rel. 20.4, (0 0 3)
- d = 2.247 Å, rel. 16.2, (0 0 12)
- d = 4.690 Å, rel. 15.1, (1 0 1)
- d = 2.630 Å, rel. 12.9, (1 1 3)
- d = 2.180 Å, rel. 11.5, (2 0 5)

Structural model:
a b c (Å): 5.4988 5.4988 27.0106
angles (deg): 90.00 90.00 120.00
Space group R-3 (No. 148, hexagonal axes)
Unique sites:
K: 0.0000 0.0000 0.0000 (multiplicity 3)
Sr: 0.0000 0.0000 0.5000 (multiplicity 3)
Al: 0.0000 0.0000 0.2492 (multiplicity 6)
F: 0.0000 0.0000 0.3121 (multiplicity 6)
F: 0.0171 0.3010 0.2261 (multiplicity 18)


This entry pairs a crystal structure of K2SrAlF8 with its simulated X-ray diffraction stick pattern. Radiation: Cu Ka. Structure: a PBE-relaxed structure.

Principal peaks in the range 5° ≤ 2θ ≤ 70°, by intensity:
- d = 2.925 Å, rel. 100.0, (1 1 0)
- d = 2.179 Å, rel. 90.0, (0 0 3)
- d = 5.066 Å, rel. 85.5, (1 0 0)
- d = 2.362 Å, rel. 66.7, (2 0 1)
- d = 2.002 Å, rel. 63.7, (0 2 2)
- d = 4.004 Å, rel. 35.0, (0 1 1)
- d = 2.746 Å, rel. 26.2, (1 0 2)
- d = 1.462 Å, rel. 24.2, (2 2 0)
- d = 1.500 Å, rel. 21.3, (0 3 2)
- d = 1.652 Å, rel. 20.9, (2 1 2)

Structural model:
a b c (Å): 5.8494 5.8494 6.5368
angles (deg): 90.00 90.00 120.00
Space group P-3m1 (No. 164)
Unique sites:
K: 0.3333 0.6667 0.3888 (multiplicity 2)
Sr: 0.0000 0.0000 0.0000 (multiplicity 1)
Al: 0.0000 0.0000 0.5000 (multiplicity 1)
F: 0.1431 0.2861 0.6702 (multiplicity 6)
F: 0.3333 0.6667 0.0066 (multiplicity 2)